Entry 1:
NbCr3Cu2S8: calculated X-ray powder pattern (Cu Ka), based on a structure optimized by DFT (GGA-PBE).
Neutral-atom scattering factors, no anomalous dispersion.

Crystal structure
Cell lengths 5.776, 12.114, 8.890 Å; angles 90.00, 129.47, 90.00 degrees
Positions (direct):
Nb 0.000 0.000 0.000
Nb 0.000 0.500 0.500
Cr 0.221 0.250 0.230
Cr 0.221 0.250 0.730
Cr 0.500 0.000 0.500
Cr 0.500 0.500 0.000
Cr 0.779 0.750 0.270
Cr 0.779 0.750 0.770
Cu 0.151 0.584 0.261
Cu 0.151 0.916 0.761
Cu 0.849 0.084 0.239
Cu 0.849 0.416 0.739
S 0.011 0.588 0.760
S 0.011 0.912 0.260
S 0.263 0.672 0.521
S 0.263 0.828 0.021
S 0.272 0.170 0.497
S 0.272 0.330 0.997
S 0.480 0.088 0.254
S 0.480 0.412 0.754
S 0.520 0.588 0.246
S 0.520 0.912 0.746
S 0.728 0.670 0.003
S 0.728 0.830 0.503
S 0.737 0.172 0.979
S 0.737 0.328 0.479
S 0.989 0.088 0.740
S 0.989 0.412 0.240

Most intense lines, 15° ≤ 2θ ≤ 90°, low angle first:
d (Å), two_theta, Rel. int.
2.992, 29.86, 54
2.888, 30.97, 56
2.845, 31.45, 57
2.091, 43.27, 100
2.059, 43.97, 51
1.740, 52.60, 93

=====

Entry 2:
NbFe3: calculated X-ray powder pattern (Cu Ka), based on a structure optimized by DFT (GGA-PBE).
Neutral-atom scattering factors, no anomalous dispersion.

Crystal structure
Cell lengths 3.572, 3.572, 8.288 Å; angles 90.00, 90.00, 90.00 degrees
Positions (direct):
Nb 0.000 0.000 0.000
Nb 0.500 0.500 0.500
Fe 0.000 0.000 0.500
Fe 0.000 0.500 0.250
Fe 0.000 0.500 0.750
Fe 0.500 0.000 0.250
Fe 0.500 0.000 0.750
Fe 0.500 0.500 0.000

Most intense lines, 15° ≤ 2θ ≤ 90°, low angle first:
d (Å), two_theta, Rel. int.
2.157, 41.89, 100
2.072, 43.69, 22
1.786, 51.14, 27
1.353, 69.48, 20
1.263, 75.24, 8
1.212, 79.00, 14

=====

Entry 3:
Ba2CdGe10: calculated X-ray powder pattern (Cu Ka), based on a structure optimized by DFT (GGA-PBE).
Neutral-atom scattering factors, no anomalous dispersion.

Crystal structure
Cell lengths 10.956, 11.023, 11.023 Å; angles 90.02, 90.00, 90.00 degrees
Positions (direct):
Ba 0.000 0.000 0.000
Ba 0.250 0.248 0.505
Ba 0.250 0.503 0.002
Ba 0.250 0.758 0.506
Ba 0.500 0.000 0.000
Ba 0.750 0.002 0.503
Ba 0.750 0.505 0.248
Ba 0.750 0.506 0.758
Cd 0.000 0.502 0.502
Cd 0.250 0.003 0.252
Cd 0.500 0.502 0.502
Cd 0.750 0.252 0.003
Ge 0.049 0.003 0.392
Ge 0.063 0.684 0.184
Ge 0.067 0.319 0.187
Ge 0.067 0.688 0.823
Ge 0.070 0.316 0.820
Ge 0.071 0.003 0.624
Ge 0.136 0.503 0.305
Ge 0.136 0.503 0.701
Ge 0.250 0.181 0.882
Ge 0.250 0.202 0.113
Ge 0.250 0.802 0.113
Ge 0.250 0.823 0.882
Ge 0.364 0.503 0.305
Ge 0.364 0.503 0.701
Ge 0.429 0.003 0.624
Ge 0.430 0.316 0.820
Ge 0.433 0.319 0.187
Ge 0.433 0.688 0.823
Ge 0.437 0.684 0.184
Ge 0.451 0.003 0.392
Ge 0.549 0.392 0.003
Ge 0.563 0.184 0.684
Ge 0.567 0.187 0.319
Ge 0.567 0.823 0.688
Ge 0.570 0.820 0.316
Ge 0.571 0.624 0.003
Ge 0.636 0.305 0.503
Ge 0.636 0.701 0.503
Ge 0.750 0.113 0.202
Ge 0.750 0.113 0.802
Ge 0.750 0.882 0.181
Ge 0.750 0.882 0.823
Ge 0.864 0.305 0.503
Ge 0.864 0.701 0.503
Ge 0.929 0.624 0.003
Ge 0.930 0.820 0.316
Ge 0.933 0.187 0.319
Ge 0.933 0.823 0.688
Ge 0.937 0.184 0.684
Ge 0.951 0.392 0.003

Most intense lines, 15° ≤ 2θ ≤ 90°, low angle first:
d (Å), two_theta, Rel. int.
3.176, 28.10, 44
3.054, 29.24, 34
2.943, 30.38, 100
2.934, 30.46, 44
1.889, 48.19, 35
1.787, 51.13, 43

=====

Entry 4:
Ca3Si2SnO9: calculated X-ray powder pattern (Cu Ka), based on a structure optimized by DFT (GGA-PBE).
Neutral-atom scattering factors, no anomalous dispersion.

Crystal structure
Cell lengths 7.416, 10.201, 10.535 Å; angles 90.00, 91.20, 90.00 degrees
Positions (direct):
Ca 0.119 0.167 0.084
Ca 0.119 0.333 0.584
Ca 0.364 0.079 0.389
Ca 0.364 0.421 0.889
Ca 0.372 0.696 0.404
Ca 0.372 0.804 0.904
Ca 0.628 0.196 0.096
Ca 0.628 0.304 0.596
Ca 0.636 0.579 0.111
Ca 0.636 0.921 0.611
Ca 0.881 0.667 0.416
Ca 0.881 0.833 0.916
Si 0.167 0.625 0.684
Si 0.167 0.875 0.184
Si 0.401 0.137 0.805
Si 0.401 0.363 0.305
Si 0.599 0.637 0.695
Si 0.599 0.863 0.195
Si 0.833 0.125 0.816
Si 0.833 0.375 0.316
Sn 0.120 0.558 0.118
Sn 0.120 0.942 0.618
Sn 0.880 0.058 0.382
Sn 0.880 0.442 0.882
O 0.084 0.002 0.258
O 0.084 0.498 0.758
O 0.091 0.117 0.508
O 0.091 0.383 0.008
O 0.104 0.731 0.239
O 0.104 0.769 0.739
O 0.144 0.609 0.532
O 0.144 0.891 0.032
O 0.304 0.501 0.263
O 0.304 0.999 0.763
O 0.341 0.608 0.017
O 0.341 0.892 0.517
O 0.355 0.233 0.220
O 0.355 0.267 0.720
O 0.381 0.169 0.955
O 0.381 0.331 0.455
O 0.383 0.607 0.730
O 0.383 0.893 0.230
O 0.617 0.107 0.770
O 0.617 0.393 0.270
O 0.619 0.669 0.545
O 0.619 0.831 0.045
O 0.645 0.733 0.280
O 0.645 0.767 0.780
O 0.659 0.108 0.483
O 0.659 0.392 0.983
O 0.696 0.001 0.237
O 0.696 0.499 0.737
O 0.856 0.109 0.968
O 0.856 0.391 0.468
O 0.896 0.231 0.261
O 0.896 0.269 0.761
O 0.909 0.617 0.992
O 0.909 0.883 0.492
O 0.916 0.502 0.242
O 0.916 0.998 0.742

Most intense lines, 15° ≤ 2θ ≤ 90°, low angle first:
d (Å), two_theta, Rel. int.
3.236, 27.56, 48
3.061, 29.17, 93
3.003, 29.75, 100
2.893, 30.92, 65
2.857, 31.31, 83
1.853, 49.16, 36

=====

Entry 5:
Na2NbAlSi2SO12: calculated X-ray powder pattern (Cu Ka), based on a structure optimized by DFT (GGA-PBE).
Neutral-atom scattering factors, no anomalous dispersion.

Crystal structure
Cell lengths 8.840, 8.840, 9.153 Å; angles 120.30, 120.30, 60.25 degrees
Positions (direct):
Na 0.056 0.944 0.500
Na 0.327 0.818 0.233
Na 0.818 0.327 0.733
Na 0.944 0.056 0.000
Nb 0.459 0.962 0.684
Nb 0.962 0.459 0.184
Al 0.141 0.688 0.813
Al 0.688 0.141 0.313
Si 0.054 0.293 0.505
Si 0.293 0.054 0.005
Si 0.779 0.863 0.507
Si 0.863 0.779 0.007
S 0.364 0.558 0.505
S 0.558 0.364 0.005
O 0.032 0.308 0.320
O 0.044 0.754 0.982
O 0.096 0.233 0.024
O 0.103 0.469 0.675
O 0.195 0.538 0.339
O 0.233 0.096 0.524
O 0.258 0.874 0.976
O 0.308 0.032 0.820
O 0.334 0.594 0.664
O 0.373 0.730 0.512
O 0.403 0.530 0.980
O 0.469 0.103 0.175
O 0.530 0.403 0.480
O 0.538 0.195 0.839
O 0.588 0.884 0.518
O 0.594 0.334 0.164
O 0.676 0.824 0.831
O 0.730 0.373 0.012
O 0.754 0.044 0.482
O 0.824 0.676 0.331
O 0.839 0.960 0.184
O 0.874 0.258 0.476
O 0.884 0.588 0.018
O 0.960 0.839 0.684

Most intense lines, 15° ≤ 2θ ≤ 90°, low angle first:
d (Å), two_theta, Rel. int.
4.576, 19.40, 61
4.477, 19.83, 55
4.424, 20.07, 100
3.810, 23.35, 58
2.883, 31.02, 76
2.849, 31.39, 52

=====

Entry 6:
Hf9Re4P: calculated X-ray powder pattern (Cu Ka), based on a structure optimized by DFT (GGA-PBE).
Neutral-atom scattering factors, no anomalous dispersion.

Crystal structure
Cell lengths 8.533, 8.533, 8.651 Å; angles 90.00, 90.00, 120.00 degrees
Positions (direct):
Hf 0.079 0.539 0.250
Hf 0.197 0.394 0.548
Hf 0.197 0.394 0.952
Hf 0.197 0.803 0.548
Hf 0.197 0.803 0.952
Hf 0.394 0.197 0.048
Hf 0.394 0.197 0.452
Hf 0.461 0.539 0.250
Hf 0.461 0.921 0.250
Hf 0.539 0.079 0.750
Hf 0.539 0.461 0.750
Hf 0.606 0.803 0.548
Hf 0.606 0.803 0.952
Hf 0.803 0.197 0.048
Hf 0.803 0.197 0.452
Hf 0.803 0.606 0.048
Hf 0.803 0.606 0.452
Hf 0.921 0.461 0.750
Re 0.000 0.000 0.000
Re 0.000 0.000 0.500
Re 0.109 0.218 0.250
Re 0.109 0.891 0.250
Re 0.218 0.109 0.750
Re 0.782 0.891 0.250
Re 0.891 0.109 0.750
Re 0.891 0.782 0.750
P 0.333 0.667 0.750
P 0.667 0.333 0.250

Most intense lines, 15° ≤ 2θ ≤ 90°, low angle first:
d (Å), two_theta, Rel. int.
2.369, 37.98, 64
2.346, 38.36, 100
2.273, 39.65, 39
1.461, 63.67, 24
1.416, 65.98, 27
1.399, 66.90, 23

=====

Entry 7:
EuZrF7: calculated X-ray powder pattern (Cu Ka), based on a structure optimized by DFT (GGA-PBE).
Neutral-atom scattering factors, no anomalous dispersion.

Crystal structure
Cell lengths 6.235, 5.812, 8.444 Å; angles 90.00, 101.41, 90.00 degrees
Positions (direct):
Eu 0.156 0.000 0.185
Eu 0.844 0.500 0.815
Zr 0.312 0.990 0.723
Zr 0.688 0.490 0.277
F 0.048 0.199 0.715
F 0.049 0.314 0.024
F 0.124 0.700 0.719
F 0.257 0.994 0.479
F 0.356 0.986 0.970
F 0.425 0.277 0.266
F 0.467 0.753 0.261
F 0.533 0.253 0.739
F 0.575 0.777 0.734
F 0.644 0.486 0.030
F 0.743 0.494 0.521
F 0.876 0.200 0.281
F 0.951 0.814 0.976
F 0.952 0.699 0.285

Most intense lines, 15° ≤ 2θ ≤ 90°, low angle first:
d (Å), two_theta, Rel. int.
4.211, 21.10, 100
4.139, 21.47, 37
3.562, 25.00, 23
3.371, 26.44, 16
3.176, 28.09, 28
1.955, 46.46, 15